Starting from a PBE-relaxed structure, the X-ray powder pattern of Pu2MgZnRu2 was computed for Cu Kα (weighted mean of Kα1 and Kα2).
Peak positions follow from Bragg's law for the DFT cell and can differ from measured ones.

Cell and atoms:
```
data_Pu2MgZnRu2
_cell_length_a 5.430
_cell_length_b 15.274
_cell_length_c 5.502
_cell_angle_alpha 90.00
_cell_angle_beta 90.00
_cell_angle_gamma 90.00
_symmetry_space_group_name_H-M 'I b a m'
_symmetry_Int_Tables_number 72
_symmetry_space_group_name_Hall '-I 2 2c'
loop_
_atom_site_label
_atom_site_type_symbol
_atom_site_fract_x
_atom_site_fract_y
_atom_site_fract_z
Pu1 Pu 0.247 0.173 0.000
Mg1 Mg 0.000 0.000 0.250
Zn1 Zn 0.000 0.500 0.250
Ru1 Ru 0.243 0.367 0.000
```

Peak list (10 most intense, 2θ = 5–70°, in order of rising 2θ)
2θ/deg, Rel. int., hkl
11.59, 41, 0 2 0
32.55, 36, 0 0 2
32.98, 100, 2 0 0
34.66, 27, 0 2 2
35.08, 26, 2 2 0
35.26, 34, 0 6 0
40.41, 27, 0 4 2
40.78, 26, 2 4 0
47.02, 47, 2 0 2
60.11, 29, 2 6 2